# 1
Diffraction record for Ce2Te7Cl2O17. The X-ray diffraction stick pattern is computed, not measured: it uses a crystal structure in the Materials Project, relaxed with GGA-PBE and CuKα.

Largest 10 diffraction maxima, by intensity, 15° ≤ 2θ ≤ 90°:
h k l, Position (°2θ), Rel. int.
0 0 6, 28.1, 100
2 1 -1, 24.5, 85
1 1 -2, 19.5, 70
2 1 -4, 26.9, 69
2 1 -3, 25.3, 57
0 2 3, 35.9, 54
2 1 2, 29.6, 42
1 1 -1, 18.6, 36
1 1 4, 29.2, 32
3 0 0, 29.3, 31

Structural model:
Unit cell a=9.866 b=5.448 c=20.581 alpha=90.00 beta=112.08 gamma=90.00
Space group P2/c (No. 13)
Asymmetric unit:
1 Ce 0.005 0.137 0.409 (multiplicity 4)
2 Te 0.000 0.446 0.250 (multiplicity 2)
3 Te 0.269 0.322 0.582 (multiplicity 4)
4 Te 0.292 0.396 0.913 (multiplicity 4)
5 Te 0.327 0.011 0.758 (multiplicity 4)
6 Cl 0.470 0.173 0.080 (multiplicity 4)
7 O 0.100 0.214 0.215 (multiplicity 4)
8 O 0.116 0.097 0.533 (multiplicity 4)
9 O 0.143 0.429 0.090 (multiplicity 4)
10 O 0.144 0.161 0.903 (multiplicity 4)
11 O 0.160 0.366 0.351 (multiplicity 4)
12 O 0.212 0.118 0.664 (multiplicity 4)
13 O 0.230 0.402 0.479 (multiplicity 4)
14 O 0.278 0.273 0.804 (multiplicity 4)
15 O 0.500 0.187 0.750 (multiplicity 2)

# 2
Diffraction record for Rb3CeCl6. The X-ray diffraction stick pattern is computed, not measured: it uses a crystal structure in the Materials Project, relaxed with GGA-PBE and CuKα.

Largest 10 diffraction maxima, by intensity, 15° ≤ 2θ ≤ 90°:
h k l, Position (°2θ), Rel. int.
2 2 0, 21.4, 100
4 0 0, 30.5, 73
4 4 0, 43.6, 50
4 2 2, 37.6, 47
6 4 2, 58.9, 27
6 2 0, 49.1, 24
8 4 0, 72.0, 20
2 0 0, 15.1, 18
4 4 4, 54.2, 17
8 4 4, 80.1, 15

Structural model:
Unit cell a=11.734 b=11.734 c=11.734 alpha=90.00 beta=90.00 gamma=90.00
Space group Fm-3m (No. 225)
Asymmetric unit:
1 Rb 0.000 0.000 0.000 (multiplicity 4)
2 Rb 0.250 0.250 0.250 (multiplicity 8)
3 Ce 0.000 0.000 0.500 (multiplicity 4)
4 Cl 0.000 0.000 0.266 (multiplicity 24)

# 3
Diffraction record for Rb2CeCl5. The X-ray diffraction stick pattern is computed, not measured: it uses a crystal structure in the Materials Project, relaxed with GGA-PBE and CuKα.

Largest 10 diffraction maxima, by intensity, 15° ≤ 2θ ≤ 90°:
h k l, Position (°2θ), Rel. int.
3 0 1, 22.4, 100
0 4 0, 39.7, 88
1 2 1, 23.3, 87
2 2 2, 32.2, 81
2 2 0, 23.6, 66
1 2 2, 30.1, 64
5 2 1, 40.1, 63
0 0 2, 21.6, 49
4 2 0, 32.9, 45
6 0 2, 45.7, 43

Structural model:
Unit cell a=13.620 b=9.073 c=8.229 alpha=90.00 beta=90.00 gamma=90.00
Space group Pnma (No. 62)
Asymmetric unit:
1 Rb 0.174 0.001 0.032 (multiplicity 8)
2 Ce 0.003 0.250 0.571 (multiplicity 4)
3 Cl 0.011 0.250 0.912 (multiplicity 4)
4 Cl 0.081 0.538 0.651 (multiplicity 8)
5 Cl 0.165 0.250 0.362 (multiplicity 4)
6 Cl 0.195 0.750 0.330 (multiplicity 4)

# 4
Diffraction record for Ce3Si2S8Cl. The X-ray diffraction stick pattern is computed, not measured: it uses a crystal structure in the Materials Project, relaxed with GGA-PBE and CuKα.

Largest 10 diffraction maxima, by intensity, 15° ≤ 2θ ≤ 90°:
h k l, Position (°2θ), Rel. int.
3 1 3, 33.8, 100
4 2 -1, 32.9, 97
0 0 2, 16.2, 86
0 2 1, 24.5, 79
3 1 1, 22.9, 63
1 1 -4, 34.5, 61
3 1 -1, 21.3, 59
4 2 -3, 39.3, 48
3 3 1, 40.4, 45
4 0 -4, 37.7, 43

Structural model:
Unit cell a=15.755 b=7.709 c=11.043 alpha=90.00 beta=97.21 gamma=90.00
Space group C2/c (No. 15)
Asymmetric unit:
1 Ce 0.000 0.121 0.250 (multiplicity 4)
2 Ce 0.195 0.378 0.686 (multiplicity 8)
3 Si 0.160 0.031 0.030 (multiplicity 8)
4 S 0.066 0.158 0.551 (multiplicity 8)
5 S 0.146 0.250 0.142 (multiplicity 8)
6 S 0.148 0.089 0.840 (multiplicity 8)
7 S 0.215 0.427 0.415 (multiplicity 8)
8 Cl 0.000 0.494 0.250 (multiplicity 4)

# 5
Diffraction record for CeTeCl. The X-ray diffraction stick pattern is computed, not measured: it uses a crystal structure in the Materials Project, relaxed with GGA-PBE and CuKα.

Largest 10 diffraction maxima, by intensity, 15° ≤ 2θ ≤ 90°:
h k l, Position (°2θ), Rel. int.
2 1 1, 31.6, 100
1 1 2, 29.7, 50
1 1 3, 36.7, 39
3 0 2, 39.1, 34
1 1 1, 24.7, 31
0 2 0, 40.2, 29
1 0 2, 21.9, 27
3 2 2, 57.3, 22
1 0 3, 30.6, 20
2 1 5, 57.9, 19

Structural model:
Unit cell a=7.928 b=4.484 c=9.434 alpha=90.00 beta=90.00 gamma=90.00
Space group Pnma (No. 62)
Asymmetric unit:
1 Ce 0.238 0.250 0.133 (multiplicity 4)
2 Te 0.038 0.750 0.332 (multiplicity 4)
3 Cl 0.135 0.750 0.939 (multiplicity 4)

# 6
Diffraction record for CeTeCl. The X-ray diffraction stick pattern is computed, not measured: it uses a crystal structure in the Materials Project, relaxed with GGA-PBE and CuKα.

Largest 10 diffraction maxima, by intensity, 15° ≤ 2θ ≤ 90°:
h k l, Position (°2θ), Rel. int.
1 1 0, 28.1, 100
1 1 2, 35.7, 77
1 0 3, 38.3, 70
2 0 0, 40.1, 66
1 0 2, 29.4, 66
2 1 3, 56.7, 45
1 1 1, 30.1, 39
2 1 5, 74.3, 30
2 1 2, 50.5, 29
1 0 5, 59.6, 28

Structural model:
Unit cell a=4.492 b=4.492 c=8.261 alpha=90.00 beta=90.00 gamma=90.00
Space group P4/nmm (No. 129, origin choice 2)
Asymmetric unit:
1 Ce 0.250 0.250 0.241 (multiplicity 2)
2 Te 0.250 0.250 0.637 (multiplicity 2)
3 Cl 0.250 0.750 0.000 (multiplicity 2)